Tl2FeI: simulated powder X-ray diffraction pattern (Cu Ka), based on a DFT-relaxed cell (PBE, Alexandria).
Kinematic intensities with the Lorentz-polarization factor, no thermal factor.

Most intense lines, 15° ≤ 2θ ≤ 90°, in order of rising 2θ:
2θ = 15.45°, intensity 19; 2θ = 21.79°, intensity 35; 2θ = 23.23°, intensity 100; 2θ = 31.19°, intensity 16; 2θ = 33.18°, intensity 52; 2θ = 36.66°, intensity 66; 2θ = 38.96°, intensity 26; 2θ = 43.03°, intensity 17

```
Tl2FeI
1.0
-3.0607 3.0607 8.2045
3.0607 -3.0607 8.2045
3.0607 3.0607 -8.2045
Tl Fe I
4 2 2
Direct
0.0016 0.6250 0.8766 Tl
0.3750 0.2516 0.3766 Tl
0.7484 0.1250 0.1234 Tl
0.8750 0.9984 0.6234 Tl
0.0000 0.0000 0.0000 Fe
0.7500 0.2500 0.5000 Fe
0.2500 0.7500 0.5000 I
0.5000 0.5000 0.0000 I
```